1.
For NaSbCO2F3, a crystal structure in Alexandria, relaxed with GGA-PBE gives the calculated powder X-ray diffraction pattern in this record (CuKα).

Largest 10 diffraction maxima, in order of rising 2θ, 2θ from 10° to 90°:
- 14.68 deg, I = 42
- 17.75 deg, I = 67
- 20.30 deg, I = 43
- 22.37 deg, I = 46
- 23.88 deg, I = 42
- 24.39 deg, I = 100
- 28.36 deg, I = 40
- 31.11 deg, I = 34
- 42.36 deg, I = 29
- 49.95 deg, I = 27

Crystal structure
a = 9.3696 Å, b = 9.3696 Å, c = 8.4881 Å
α = 95.84°, β = 95.84°, γ = 40.12°
Fractional coordinates of all 32 atoms:
1 Na 0.0914 0.3287 0.3254
2 Na 0.3287 0.0914 0.8254
3 Na 0.6713 0.9086 0.1746
4 Na 0.9086 0.6713 0.6746
5 Sb 0.2665 0.5194 0.0986
6 Sb 0.4806 0.7335 0.4014
7 Sb 0.5194 0.2665 0.5986
8 Sb 0.7335 0.4806 0.9014
9 C 0.0416 0.8946 0.5259
10 C 0.1054 0.9584 0.9741
11 C 0.8946 0.0416 0.0259
12 C 0.9584 0.1054 0.4741
13 O 0.0744 0.0963 0.9062
14 O 0.0963 0.0744 0.4062
15 O 0.2387 0.7089 0.4974
16 O 0.2911 0.7613 0.0026
17 O 0.7089 0.2387 0.9974
18 O 0.7613 0.2911 0.5026
19 O 0.9037 0.9256 0.5938
20 O 0.9256 0.9037 0.0938
21 F 0.0355 0.5711 0.1851
22 F 0.1726 0.5618 0.8719
23 F 0.2200 0.3960 0.5385
24 F 0.3960 0.2200 0.0385
25 F 0.4289 0.9645 0.3149
26 F 0.4382 0.8274 0.6281
27 F 0.5618 0.1726 0.3719
28 F 0.5711 0.0355 0.6851
29 F 0.6040 0.7800 0.9615
30 F 0.7800 0.6040 0.4615
31 F 0.8274 0.4382 0.1281
32 F 0.9645 0.4289 0.8149



2.
For Na2Sn2C3O6F3, a crystal structure in Alexandria, relaxed with GGA-PBE gives the calculated powder X-ray diffraction pattern in this record (CuKα).

Largest 10 diffraction maxima, in order of rising 2θ, 2θ from 10° to 90°:
- 16.63 deg, I = 40
- 20.07 deg, I = 40
- 20.43 deg, I = 89
- 25.48 deg, I = 100
- 26.18 deg, I = 41
- 26.33 deg, I = 37
- 30.08 deg, I = 49
- 30.29 deg, I = 59
- 32.40 deg, I = 39
- 40.63 deg, I = 38

Crystal structure
a = 6.1359 Å, b = 8.9282 Å, c = 9.3866 Å
α = 71.25°, β = 82.63°, γ = 82.61°
Fractional coordinates of all 32 atoms:
1 Na 0.1407 0.2577 0.1279
2 Na 0.2955 0.9629 0.9166
3 Na 0.7045 0.0371 0.0834
4 Na 0.8593 0.7423 0.8721
5 Sn 0.1615 0.4289 0.6872
6 Sn 0.1773 0.8612 0.3608
7 Sn 0.8227 0.1388 0.6392
8 Sn 0.8385 0.5711 0.3128
9 C 0.3997 0.4944 0.2265
10 C 0.4120 0.6116 0.8335
11 C 0.4139 0.0738 0.4899
12 C 0.5861 0.9262 0.5101
13 C 0.5880 0.3884 0.1665
14 C 0.6003 0.5056 0.7735
15 O 0.2046 0.4763 0.2106
16 O 0.2127 0.5881 0.8206
17 O 0.2452 0.0768 0.4213
18 O 0.4510 0.1809 0.5414
19 O 0.4580 0.5899 0.2873
20 O 0.4626 0.7102 0.8892
21 O 0.5374 0.2898 0.1108
22 O 0.5420 0.4101 0.7127
23 O 0.5490 0.8191 0.4586
24 O 0.7548 0.9232 0.5787
25 O 0.7873 0.4119 0.1794
26 O 0.7954 0.5237 0.7894
27 F 0.0579 0.9577 0.7592
28 F 0.1399 0.2365 0.8865
29 F 0.3614 0.9575 0.1535
30 F 0.6386 0.0425 0.8465
31 F 0.8601 0.7635 0.1135
32 F 0.9421 0.0423 0.2408



3.
For NaYCO3F2, a crystal structure in Alexandria, relaxed with GGA-PBE gives the calculated powder X-ray diffraction pattern in this record (CuKα).

Largest 10 diffraction maxima, in order of rising 2θ, 2θ from 10° to 90°:
- 16.87 deg, I = 100
- 25.17 deg, I = 87
- 26.87 deg, I = 31
- 28.01 deg, I = 32
- 31.50 deg, I = 45
- 42.65 deg, I = 23
- 43.72 deg, I = 28
- 45.41 deg, I = 29
- 48.50 deg, I = 22
- 51.13 deg, I = 31

Crystal structure
a = 6.3713 Å, b = 7.0754 Å, c = 9.3013 Å
α = 90.00°, β = 90.00°, γ = 90.00°
Fractional coordinates of all 32 atoms:
1 Na 0.1719 0.2500 0.2182
2 Na 0.3281 0.7500 0.7182
3 Na 0.6719 0.2500 0.2818
4 Na 0.8281 0.7500 0.7818
5 Y 0.0121 0.2500 0.5779
6 Y 0.4879 0.7500 0.0779
7 Y 0.5121 0.2500 0.9221
8 Y 0.9879 0.7500 0.4221
9 C 0.0404 0.7500 0.0599
10 C 0.4596 0.2500 0.5599
11 C 0.5404 0.7500 0.4401
12 C 0.9596 0.2500 0.9401
13 O 0.1303 0.7500 0.1868
14 O 0.1585 0.2500 0.9566
15 O 0.1652 0.7500 0.9497
16 O 0.3348 0.2500 0.4497
17 O 0.3415 0.7500 0.4566
18 O 0.3697 0.2500 0.6868
19 O 0.6303 0.7500 0.3132
20 O 0.6585 0.2500 0.5434
21 O 0.6652 0.7500 0.5503
22 O 0.8348 0.2500 0.0503
23 O 0.8415 0.7500 0.0434
24 O 0.8697 0.2500 0.8132
25 F 0.0421 0.5597 0.6301
26 F 0.0421 0.9403 0.6301
27 F 0.4579 0.0597 0.1301
28 F 0.4579 0.4403 0.1301
29 F 0.5421 0.5597 0.8699
30 F 0.5421 0.9403 0.8699
31 F 0.9579 0.0597 0.3699
32 F 0.9579 0.4403 0.3699



4.
For Na3YC2O6F2, a crystal structure in Alexandria, relaxed with GGA-PBE gives the calculated powder X-ray diffraction pattern in this record (CuKα).

Largest 10 diffraction maxima, in order of rising 2θ, 2θ from 10° to 90°:
- 11.81 deg, I = 82
- 14.70 deg, I = 50
- 15.85 deg, I = 82
- 18.89 deg, I = 50
- 27.30 deg, I = 82
- 29.85 deg, I = 59
- 30.46 deg, I = 100
- 32.15 deg, I = 65
- 34.76 deg, I = 65
- 46.29 deg, I = 49

Crystal structure
a = 7.1162 Å, b = 14.9894 Å, c = 7.9176 Å
α = 90.00°, β = 122.11°, γ = 90.00°
Fractional coordinates of all 56 atoms:
1 Na 0.0000 0.0000 0.0000
2 Na 0.0000 0.5000 0.5000
3 Na 0.1284 0.1829 0.3788
4 Na 0.1284 0.3171 0.8788
5 Na 0.2458 0.5076 0.2612
6 Na 0.2458 0.9924 0.7612
7 Na 0.5000 0.0000 0.5000
8 Na 0.5000 0.5000 0.0000
9 Na 0.7542 0.0076 0.2388
10 Na 0.7542 0.4924 0.7388
11 Na 0.8716 0.6829 0.1212
12 Na 0.8716 0.8171 0.6212
13 Y 0.3758 0.7150 0.6272
14 Y 0.3758 0.7850 0.1272
15 Y 0.6242 0.2150 0.8728
16 Y 0.6242 0.2850 0.3728
17 C 0.1448 0.6312 0.8901
18 C 0.1448 0.8688 0.3901
19 C 0.3887 0.1358 0.1337
20 C 0.3887 0.3642 0.6337
21 C 0.6113 0.6358 0.3663
22 C 0.6113 0.8642 0.8663
23 C 0.8552 0.1312 0.6099
24 C 0.8552 0.3688 0.1099
25 O 0.1211 0.5498 0.8346
26 O 0.1211 0.9502 0.3346
27 O 0.1399 0.6553 0.0463
28 O 0.1399 0.8447 0.5463
29 O 0.1845 0.6958 0.8002
30 O 0.1845 0.8042 0.3002
31 O 0.3575 0.0560 0.0717
32 O 0.3575 0.4440 0.5717
33 O 0.3862 0.1588 0.2917
34 O 0.3862 0.3412 0.7917
35 O 0.4353 0.2012 0.0493
36 O 0.4353 0.2988 0.5493
37 O 0.5647 0.7012 0.4507
38 O 0.5647 0.7988 0.9507
39 O 0.6138 0.6588 0.2083
40 O 0.6138 0.8412 0.7083
41 O 0.6425 0.5560 0.4283
42 O 0.6425 0.9440 0.9283
43 O 0.8155 0.1958 0.6998
44 O 0.8155 0.3042 0.1998
45 O 0.8601 0.1553 0.4537
46 O 0.8601 0.3447 0.9537
47 O 0.8789 0.0498 0.6654
48 O 0.8789 0.4502 0.1654
49 F 0.1367 0.6189 0.4162
50 F 0.1367 0.8811 0.9162
51 F 0.3952 0.1111 0.6722
52 F 0.3952 0.3889 0.1722
53 F 0.6048 0.6111 0.8278
54 F 0.6048 0.8889 0.3278
55 F 0.8633 0.1189 0.0838
56 F 0.8633 0.3811 0.5838